Starting from a cell relaxed with GGA-PBE, the X-ray powder pattern of Sm2Ge3Ru was simulated for Cu Kα (λ = 1.5418 Å).

Structure:
Unit cell a=8.534 b=8.431 c=5.933 alpha=70.46 beta=68.60 gamma=40.94
Atoms (fractional coordinates):
1 Sm 0.243 0.757 0.757
2 Sm 0.250 0.250 0.250
3 Sm 0.750 0.750 0.750
4 Sm 0.757 0.243 0.243
5 Ge 0.161 0.669 0.331
6 Ge 0.330 0.330 0.670
7 Ge 0.331 0.839 0.161
8 Ge 0.669 0.161 0.839
9 Ge 0.670 0.670 0.330
10 Ge 0.839 0.331 0.669
11 Ru 0.166 0.166 0.834
12 Ru 0.834 0.834 0.166

Peak list (10 most intense, 2θ from 5° to 70°, by angle)
2θ/deg, I/Imax
23.96, 9
32.57, 100
32.70, 50
42.04, 23
42.37, 45
44.29, 20
54.26, 24
54.62, 11
62.71, 14
62.96, 27